No. 1
For CePrTlSn, a crystal structure in Alexandria, relaxed with GGA-PBE gives the calculated powder diffractogram in this record (CuKα).
Peak positions follow from Bragg's law for the DFT cell and can differ from measured ones.

Most intense lines, 15° ≤ 2θ ≤ 90°, sorted by position:
- hkl 1 1 0, 2θ = 30.68°, rel. 65
- hkl 1 0 2, 2θ = 33.77°, rel. 100
- hkl 2 0 0, 2θ = 43.95°, rel. 24
- hkl 0 0 4, 2θ = 52.76°, rel. 7
- hkl 2 1 2, 2θ = 56.55°, rel. 46
- hkl 1 1 4, 2θ = 62.28°, rel. 17
- hkl 2 2 0, 2θ = 63.90°, rel. 8
- hkl 2 0 4, 2θ = 71.03°, rel. 12
- hkl 3 1 0, 2θ = 72.54°, rel. 11
- hkl 3 0 2, 2θ = 74.26°, rel. 10
- hkl 2 2 4, 2θ = 87.41°, rel. 7
- hkl 1 0 6, 2θ = 87.62°, rel. 7

```
data_CePrTlSn
_cell_length_a 4.121
_cell_length_b 4.121
_cell_length_c 6.940
_cell_angle_alpha 90.00
_cell_angle_beta 90.00
_cell_angle_gamma 90.00
_space_group_name_H-M_alt 'P 4 m m'
_space_group_IT_number 99
loop_
_space_group_symop_operation_xyz
'x,y,z'
'-y,x,z'
'-x,-y,z'
'y,-x,z'
'-x,y,z'
'y,x,z'
'x,-y,z'
'-y,-x,z'
loop_
_atom_site_label
_atom_site_type_symbol
_atom_site_fract_x
_atom_site_fract_y
_atom_site_fract_z
_atom_site_occupancy
Ce1 Ce 0.000 0.000 0.000 1
Pr1 Pr 0.000 0.000 0.479 1
Tl1 Tl 0.500 0.500 0.740 1
Sn1 Sn 0.500 0.500 0.236 1
```

---

No. 2
For SrCe2Pr, a crystal structure in Alexandria, relaxed with GGA-PBE gives the calculated powder diffractogram in this record (CuKα).
Peak positions follow from Bragg's law for the DFT cell and can differ from measured ones.

Most intense lines, 15° ≤ 2θ ≤ 90°, sorted by position:
- hkl 0 0 12, 2θ = 27.51°, rel. 72
- hkl 1 0 1, 2θ = 28.97°, rel. 28
- hkl 0 1 2, 2θ = 29.25°, rel. 100
- hkl 0 1 5, 2θ = 31.13°, rel. 71
- hkl 1 0 7, 2θ = 33.16°, rel. 35
- hkl 1 0 10, 2θ = 37.15°, rel. 91
- hkl 0 1 11, 2θ = 38.69°, rel. 20
- hkl 0 1 17, 2θ = 49.56°, rel. 20
- hkl 1 1 0, 2θ = 51.18°, rel. 45
- hkl 1 1 12, 2θ = 59.09°, rel. 50
- hkl 1 0 22, 2θ = 60.30°, rel. 27
- hkl 0 2 10, 2θ = 64.92°, rel. 18

```
data_SrCe2Pr
_cell_length_a 3.5695
_cell_length_b 3.5695
_cell_length_c 38.9006
_cell_angle_alpha 90.00
_cell_angle_beta 90.00
_cell_angle_gamma 120.00
_space_group_name_H-M_alt 'R -3 m'
_space_group_IT_number 166
_space_group_name_Hall '-R 3 2"'
loop_
_atom_site_label
_atom_site_type_symbol
_atom_site_fract_x
_atom_site_fract_y
_atom_site_fract_z
_atom_site_occupancy
Sr1 Sr 0.0000 0.0000 0.0000 1
Ce1 Ce 0.0000 0.0000 0.0902 1
Pr1 Pr 0.0000 0.0000 0.5000 1
```

---

No. 3
For Tb6CePr10, a crystal structure in Alexandria, relaxed with GGA-PBE gives the calculated powder diffractogram in this record (CuKα).
Peak positions follow from Bragg's law for the DFT cell and can differ from measured ones.

Most intense lines, 15° ≤ 2θ ≤ 90°, sorted by position:
- hkl 2 0 1, 2θ = 24.32°, rel. 9
- hkl 3 -1 1, 2θ = 30.34°, rel. 44
- hkl 3 0 0, 2θ = 31.22°, rel. 79
- hkl 1 1 2, 2θ = 31.32°, rel. 100
- hkl 4 -1 1, 2θ = 39.96°, rel. 10
- hkl 4 -2 2, 2θ = 44.81°, rel. 26
- hkl 3 2 1, 2θ = 47.93°, rel. 14
- hkl 4 -1 3, 2θ = 55.14°, rel. 8
- hkl 4 1 2, 2θ = 55.60°, rel. 24
- hkl 2 -1 4, 2θ = 55.81°, rel. 18
- hkl 6 -2 1, 2θ = 58.32°, rel. 9
- hkl 6 -1 1, 2θ = 61.51°, rel. 11

```
data_Tb6CePr10
_cell_length_a 9.9260
_cell_length_b 9.9260
_cell_length_c 6.9845
_cell_angle_alpha 90.00
_cell_angle_beta 90.00
_cell_angle_gamma 120.00
_space_group_name_H-M_alt 'P -3 1 m'
_space_group_IT_number 162
_space_group_name_Hall '-P 3 2'
loop_
_atom_site_label
_atom_site_type_symbol
_atom_site_fract_x
_atom_site_fract_y
_atom_site_fract_z
_atom_site_occupancy
Tb1 Tb 0.0000 0.3710 0.3080 1
Ce1 Ce 0.0000 0.0000 0.5000 1
Pr1 Pr 0.0000 0.2728 0.8146 1
Pr2 Pr 0.3333 0.6667 0.0000 1
Pr3 Pr 0.3333 0.6667 0.5000 1
```

---

No. 4
For Tb5CePr6, a crystal structure in Alexandria, relaxed with GGA-PBE gives the calculated powder diffractogram in this record (CuKα).
Peak positions follow from Bragg's law for the DFT cell and can differ from measured ones.

Most intense lines, 15° ≤ 2θ ≤ 90°, sorted by position:
- hkl 1 2 3, 2θ = 30.09°, rel. 100
- hkl 2 0 0, 2θ = 34.80°, rel. 34
- hkl 0 4 0, 2θ = 35.06°, rel. 17
- hkl 2 0 6, 2θ = 50.03°, rel. 12
- hkl 2 4 0, 2θ = 50.23°, rel. 24
- hkl 3 2 3, 2θ = 59.43°, rel. 15
- hkl 1 2 9, 2θ = 59.56°, rel. 14
- hkl 1 6 3, 2θ = 59.84°, rel. 14
- hkl 2 4 6, 2θ = 62.55°, rel. 12
- hkl 3 2 9, 2θ = 81.37°, rel. 6
- hkl 3 6 3, 2θ = 81.62°, rel. 6
- hkl 1 6 9, 2θ = 81.73°, rel. 6

```
data_Tb5CePr6
_cell_length_a 5.163
_cell_length_b 10.238
_cell_length_c 15.449
_cell_angle_alpha 90.00
_cell_angle_beta 90.00
_cell_angle_gamma 90.00
_space_group_name_H-M_alt 'I m m m'
_space_group_IT_number 71
_space_group_name_Hall '-I 2 2'
loop_
_atom_site_label
_atom_site_type_symbol
_atom_site_fract_x
_atom_site_fract_y
_atom_site_fract_z
_atom_site_occupancy
Tb1 Tb 0.000 0.000 0.000 1
Tb2 Tb 0.000 0.000 0.334 1
Tb3 Tb 0.000 0.500 0.332 1
Ce1 Ce 0.000 0.500 0.000 1
Pr1 Pr 0.000 0.248 0.500 1
Pr2 Pr 0.000 0.250 0.165 1
```

---

No. 5
For Tb9CePr2, a crystal structure in Alexandria, relaxed with GGA-PBE gives the calculated powder diffractogram in this record (CuKα).
Peak positions follow from Bragg's law for the DFT cell and can differ from measured ones.

Most intense lines, 15° ≤ 2θ ≤ 90°, sorted by position:
- hkl 1 1 3, 2θ = 30.56°, rel. 100
- hkl 2 0 0, 2θ = 35.44°, rel. 51
- hkl 2 2 0, 2θ = 50.98°, rel. 36
- hkl 3 1 3, 2θ = 60.62°, rel. 43
- hkl 2 2 6, 2θ = 63.62°, rel. 12
- hkl 4 0 0, 2θ = 74.99°, rel. 6
- hkl 3 3 3, 2θ = 83.10°, rel. 18
- hkl 4 2 0, 2θ = 85.77°, rel. 16

```
data_Tb9CePr2
_cell_length_a 5.067
_cell_length_b 5.067
_cell_length_c 15.196
_cell_angle_alpha 90.00
_cell_angle_beta 90.00
_cell_angle_gamma 90.00
_space_group_name_H-M_alt 'P 4/m m m'
_space_group_IT_number 123
_space_group_name_Hall '-P 4 2'
loop_
_atom_site_label
_atom_site_type_symbol
_atom_site_fract_x
_atom_site_fract_y
_atom_site_fract_z
_atom_site_occupancy
Tb1 Tb 0.000 0.000 0.000 1
Tb2 Tb 0.000 0.000 0.333 1
Tb3 Tb 0.000 0.500 0.163 1
Tb4 Tb 0.000 0.500 0.500 1
Ce1 Ce 0.500 0.500 0.000 1
Pr1 Pr 0.500 0.500 0.331 1
```

---

No. 6
For Tb6CePr4, a crystal structure in Alexandria, relaxed with GGA-PBE gives the calculated powder diffractogram in this record (CuKα).
Peak positions follow from Bragg's law for the DFT cell and can differ from measured ones.

Most intense lines, 15° ≤ 2θ ≤ 90°, sorted by position:
- hkl 1 1 4, 2θ = 28.20°, rel. 48
- hkl 2 0 2, 2θ = 28.55°, rel. 64
- hkl 1 0 5, 2θ = 29.51°, rel. 29
- hkl 2 1 1, 2θ = 30.17°, rel. 100
- hkl 0 0 6, 2θ = 31.68°, rel. 23
- hkl 2 0 4, 2θ = 34.03°, rel. 85
- hkl 1 1 6, 2θ = 37.01°, rel. 30
- hkl 2 2 0, 2θ = 37.82°, rel. 34
- hkl 2 1 5, 2θ = 40.07°, rel. 34
- hkl 3 2 5, 2θ = 56.28°, rel. 21
- hkl 4 1 1, 2θ = 56.67°, rel. 31
- hkl 1 1 10, 2θ = 57.75°, rel. 26

```
data_Tb6CePr4
_cell_length_a 6.728
_cell_length_b 6.728
_cell_length_c 16.947
_cell_angle_alpha 90.00
_cell_angle_beta 90.00
_cell_angle_gamma 90.00
_space_group_name_H-M_alt 'I -4 2 m'
_space_group_IT_number 121
_space_group_name_Hall 'I -4 2'
loop_
_atom_site_label
_atom_site_type_symbol
_atom_site_fract_x
_atom_site_fract_y
_atom_site_fract_z
_atom_site_occupancy
Tb1 Tb 0.000 0.500 0.000 1
Tb2 Tb 0.181 0.181 0.123 1
Ce1 Ce 0.000 0.000 0.500 1
Pr1 Pr 0.191 0.191 0.326 1
```

---

No. 7
For Tb2CePr12, a crystal structure in Alexandria, relaxed with GGA-PBE gives the calculated powder diffractogram in this record (CuKα).
Peak positions follow from Bragg's law for the DFT cell and can differ from measured ones.

Most intense lines, 15° ≤ 2θ ≤ 90°, sorted by position:
- hkl 2 0 4, 2θ = 28.41°, rel. 33
- hkl 0 2 7, 2θ = 29.06°, rel. 60
- hkl 2 2 2, 2θ = 29.83°, rel. 100
- hkl 0 4 0, 2θ = 30.44°, rel. 97
- hkl 2 2 3, 2θ = 30.89°, rel. 24
- hkl 0 2 8, 2θ = 32.21°, rel. 82
- hkl 2 2 4, 2θ = 32.32°, rel. 58
- hkl 2 2 6, 2θ = 36.12°, rel. 48
- hkl 4 0 0, 2θ = 50.38°, rel. 24
- hkl 0 6 8, 2θ = 55.25°, rel. 29
- hkl 4 4 0, 2θ = 60.01°, rel. 26
- hkl 4 2 8, 2θ = 61.06°, rel. 27

```
data_Tb2CePr12
_cell_length_a 7.246
_cell_length_b 11.745
_cell_length_c 25.236
_cell_angle_alpha 90.00
_cell_angle_beta 90.00
_cell_angle_gamma 90.00
_space_group_name_H-M_alt 'C m m e'
_space_group_IT_number 67
_space_group_name_Hall '-C 2a 2'
loop_
_atom_site_label
_atom_site_type_symbol
_atom_site_fract_x
_atom_site_fract_y
_atom_site_fract_z
_atom_site_occupancy
Tb1 Tb 0.000 0.250 0.230 1
Tb2 Tb 0.000 0.250 0.766 1
Ce1 Ce 0.000 0.250 0.499 1
Pr1 Pr 0.000 0.003 0.572 1
Pr2 Pr 0.000 0.024 0.060 1
Pr3 Pr 0.230 0.250 0.915 1
Pr4 Pr 0.248 0.250 0.372 1
Pr5 Pr 0.250 0.000 0.176 1
Pr6 Pr 0.250 0.000 0.302 1
```

---

No. 8
For Tb4CePr3, a crystal structure in Alexandria, relaxed with GGA-PBE gives the calculated powder diffractogram in this record (CuKα).
Peak positions follow from Bragg's law for the DFT cell and can differ from measured ones.

Most intense lines, 15° ≤ 2θ ≤ 90°, sorted by position:
- hkl 1 1 0, 2θ = 26.10°, rel. 42
- hkl 8 0 0, 2θ = 27.98°, rel. 67
- hkl 0 0 2, 2θ = 29.20°, rel. 44
- hkl 2 0 -2, 2θ = 29.43°, rel. 63
- hkl 1 1 -1, 2θ = 29.82°, rel. 80
- hkl 8 0 -1, 2θ = 30.46°, rel. 67
- hkl 5 1 0, 2θ = 31.32°, rel. 100
- hkl 3 1 1, 2θ = 32.04°, rel. 96
- hkl 8 0 1, 2θ = 32.79°, rel. 61
- hkl 7 1 0, 2θ = 35.87°, rel. 44
- hkl 7 1 -1, 2θ = 38.01°, rel. 34
- hkl 5 1 2, 2θ = 44.46°, rel. 35

```
data_Tb4CePr3
_cell_length_a 25.607
_cell_length_b 3.445
_cell_length_c 6.141
_cell_angle_alpha 90.00
_cell_angle_beta 95.03
_cell_angle_gamma 90.00
_space_group_name_H-M_alt 'C 1 2/m 1'
_space_group_IT_number 12
loop_
_space_group_symop_operation_xyz
'x,y,z'
'-x,-y,-z'
'-x,y,-z'
'x,-y,z'
'x+1/2,y+1/2,z'
'-x+1/2,-y+1/2,-z'
'-x+1/2,y+1/2,-z'
'x+1/2,-y+1/2,z'
loop_
_atom_site_label
_atom_site_type_symbol
_atom_site_fract_x
_atom_site_fract_y
_atom_site_fract_z
_atom_site_occupancy
Tb1 Tb 0.106 0.000 0.222 1
Tb2 Tb 0.221 0.500 0.238 1
Ce1 Ce 0.000 0.500 0.000 1
Pr1 Pr 0.000 0.000 0.500 1
Pr2 Pr 0.146 0.000 0.739 1
```

---

No. 9
For Tb10CePr4, a crystal structure in Alexandria, relaxed with GGA-PBE gives the calculated powder diffractogram in this record (CuKα).
Peak positions follow from Bragg's law for the DFT cell and can differ from measured ones.

Most intense lines, 15° ≤ 2θ ≤ 90°, sorted by position:
- hkl 3 1 0, 2θ = 27.36°, rel. 42
- hkl 3 0 1, 2θ = 27.63°, rel. 100
- hkl 1 0 3, 2θ = 29.66°, rel. 67
- hkl 2 2 2, 2θ = 31.00°, rel. 32
- hkl 3 1 2, 2θ = 33.40°, rel. 97
- hkl 3 3 0, 2θ = 37.01°, rel. 35
- hkl 4 0 2, 2θ = 39.85°, rel. 20
- hkl 4 3 3, 2θ = 53.10°, rel. 47
- hkl 6 0 0, 2θ = 53.33°, rel. 21
- hkl 3 0 5, 2θ = 55.51°, rel. 33
- hkl 3 3 6, 2θ = 71.39°, rel. 19
- hkl 7 3 2, 2θ = 72.68°, rel. 25

```
data_Tb10CePr4
_cell_length_a 10.306
_cell_length_b 10.306
_cell_length_c 9.447
_cell_angle_alpha 90.00
_cell_angle_beta 90.00
_cell_angle_gamma 90.00
_space_group_name_H-M_alt 'I 4/m m m'
_space_group_IT_number 139
_space_group_name_Hall '-I 4 2'
loop_
_atom_site_label
_atom_site_type_symbol
_atom_site_fract_x
_atom_site_fract_y
_atom_site_fract_z
_atom_site_occupancy
Tb1 Tb 0.000 0.500 0.250 1
Tb2 Tb 0.154 0.154 0.180 1
Ce1 Ce 0.000 0.000 0.500 1
Pr1 Pr 0.000 0.294 0.500 1
```

---

No. 10
For Ce2PrTc9, a crystal structure in Alexandria, relaxed with GGA-PBE gives the calculated powder diffractogram in this record (CuKα).
Peak positions follow from Bragg's law for the DFT cell and can differ from measured ones.

Most intense lines, 15° ≤ 2θ ≤ 90°, sorted by position:
- hkl 1 1 2, 2θ = 30.19°, rel. 17
- hkl 2 0 2, 2θ = 31.92°, rel. 21
- hkl 3 1 -1, 2θ = 32.62°, rel. 35
- hkl 1 1 -3, 2θ = 34.15°, rel. 23
- hkl 4 0 -1, 2θ = 37.22°, rel. 17
- hkl 3 1 1, 2θ = 37.59°, rel. 57
- hkl 2 2 -1, 2θ = 39.19°, rel. 49
- hkl 3 1 -3, 2θ = 39.92°, rel. 100
- hkl 0 0 4, 2θ = 41.46°, rel. 32
- hkl 2 2 1, 2θ = 42.09°, rel. 21
- hkl 3 3 1, 2θ = 63.16°, rel. 19
- hkl 6 2 -2, 2θ = 68.35°, rel. 25

```
data_Ce2PrTc9
_cell_length_a 9.665
_cell_length_b 5.283
_cell_length_c 9.081
_cell_angle_alpha 90.00
_cell_angle_beta 106.40
_cell_angle_gamma 90.00
_space_group_name_H-M_alt 'C 1 2/m 1'
_space_group_IT_number 12
loop_
_space_group_symop_operation_xyz
'x,y,z'
'-x,-y,-z'
'-x,y,-z'
'x,-y,z'
'x+1/2,y+1/2,z'
'-x+1/2,-y+1/2,-z'
'-x+1/2,y+1/2,-z'
'x+1/2,-y+1/2,z'
loop_
_atom_site_label
_atom_site_type_symbol
_atom_site_fract_x
_atom_site_fract_y
_atom_site_fract_z
_atom_site_occupancy
Ce1 Ce 0.142 0.000 0.428 1
Pr1 Pr 0.000 0.000 0.000 1
Tc1 Tc 0.000 0.500 0.500 1
Tc2 Tc 0.080 0.500 0.258 1
Tc3 Tc 0.149 0.500 0.988 1
Tc4 Tc 0.170 0.233 0.757 1
```

---

No. 11
For Ce2Pr3Te6, a crystal structure in Alexandria, relaxed with GGA-PBE gives the calculated powder diffractogram in this record (CuKα).
Peak positions follow from Bragg's law for the DFT cell and can differ from measured ones.

Most intense lines, 15° ≤ 2θ ≤ 90°, sorted by position:
- hkl 1 1 -1, 2θ = 15.40°, rel. 2
- hkl 1 3 1, 2θ = 28.08°, rel. 100
- hkl 0 6 0, 2θ = 40.13°, rel. 76
- hkl 2 6 -2, 2θ = 49.68°, rel. 20
- hkl 4 0 0, 2θ = 49.75°, rel. 7
- hkl 2 6 2, 2θ = 58.06°, rel. 13
- hkl 5 3 -3, 2θ = 65.67°, rel. 17
- hkl 4 6 0, 2θ = 65.75°, rel. 17
- hkl 4 6 -4, 2θ = 72.87°, rel. 11
- hkl 6 0 -2, 2θ = 72.97°, rel. 15
- hkl 2 6 -6, 2θ = 86.56°, rel. 3
- hkl 0 12 0, 2θ = 86.72°, rel. 5

```
data_Ce2Pr3Te6
_cell_length_a 7.780
_cell_length_b 13.474
_cell_length_c 7.795
_cell_angle_alpha 90.00
_cell_angle_beta 109.55
_cell_angle_gamma 90.00
_space_group_name_H-M_alt 'C 1 2/m 1'
_space_group_IT_number 12
loop_
_space_group_symop_operation_xyz
'x,y,z'
'-x,-y,-z'
'-x,y,-z'
'x,-y,z'
'x+1/2,y+1/2,z'
'-x+1/2,-y+1/2,-z'
'-x+1/2,y+1/2,-z'
'x+1/2,-y+1/2,z'
loop_
_atom_site_label
_atom_site_type_symbol
_atom_site_fract_x
_atom_site_fract_y
_atom_site_fract_z
_atom_site_occupancy
Ce1 Ce 0.000 0.166 0.000 1
Pr1 Pr 0.000 0.000 0.500 1
Pr2 Pr 0.000 0.332 0.500 1
Te1 Te 0.243 0.337 0.242 1
Te2 Te 0.245 0.500 0.758 1
```

---

No. 12
For CePr4Te6, a crystal structure in Alexandria, relaxed with GGA-PBE gives the calculated powder diffractogram in this record (CuKα).
Peak positions follow from Bragg's law for the DFT cell and can differ from measured ones.

Most intense lines, 15° ≤ 2θ ≤ 90°, sorted by position:
- hkl 0 2 5, 2θ = 22.77°, rel. 19
- hkl 0 2 6, 2θ = 26.20°, rel. 55
- hkl 1 3 1, 2θ = 27.29°, rel. 51
- hkl 1 3 2, 2θ = 28.12°, rel. 100
- hkl 1 3 3, 2θ = 29.46°, rel. 57
- hkl 0 2 7, 2θ = 29.77°, rel. 31
- hkl 1 1 7, 2θ = 34.53°, rel. 20
- hkl 1 1 8, 2θ = 37.81°, rel. 41
- hkl 0 6 4, 2θ = 39.74°, rel. 68
- hkl 2 0 0, 2θ = 40.68°, rel. 39
- hkl 2 2 6, 2θ = 49.03°, rel. 20
- hkl 2 6 4, 2θ = 58.15°, rel. 23

```
data_CePr4Te6
_cell_length_a 4.436
_cell_length_b 14.828
_cell_length_c 22.973
_cell_angle_alpha 90.00
_cell_angle_beta 90.00
_cell_angle_gamma 90.00
_space_group_name_H-M_alt 'C m c m'
_space_group_IT_number 63
_space_group_name_Hall '-C 2c 2'
loop_
_atom_site_label
_atom_site_type_symbol
_atom_site_fract_x
_atom_site_fract_y
_atom_site_fract_z
_atom_site_occupancy
Ce1 Ce 0.000 0.158 0.250 1
Pr1 Pr 0.000 0.086 0.627 1
Pr2 Pr 0.000 0.356 0.537 1
Te1 Te 0.000 0.000 0.000 1
Te2 Te 0.000 0.186 0.750 1
Te3 Te 0.000 0.269 0.094 1
Te4 Te 0.000 0.444 0.668 1
```

---

No. 13
For Ce2PrTe5, a crystal structure in Alexandria, relaxed with GGA-PBE gives the calculated powder diffractogram in this record (CuKα).
Peak positions follow from Bragg's law for the DFT cell and can differ from measured ones.

Most intense lines, 15° ≤ 2θ ≤ 90°, sorted by position:
- hkl 1 1 1, 2θ = 23.03°, rel. 35
- hkl 2 1 0, 2θ = 26.36°, rel. 32
- hkl 2 0 1, 2θ = 28.52°, rel. 100
- hkl 0 0 2, 2θ = 32.07°, rel. 40
- hkl 2 2 0, 2θ = 33.52°, rel. 58
- hkl 3 0 0, 2θ = 35.62°, rel. 18
- hkl 2 1 2, 2θ = 41.97°, rel. 18
- hkl 2 2 2, 2θ = 47.07°, rel. 45
- hkl 4 0 0, 2θ = 48.14°, rel. 17
- hkl 2 0 3, 2θ = 55.00°, rel. 16
- hkl 4 2 1, 2θ = 56.91°, rel. 17
- hkl 4 0 2, 2θ = 59.02°, rel. 19

```
data_Ce2PrTe5
_cell_length_a 7.561
_cell_length_b 7.561
_cell_length_c 5.582
_cell_angle_alpha 90.00
_cell_angle_beta 90.00
_cell_angle_gamma 90.00
_space_group_name_H-M_alt 'P 4/m m m'
_space_group_IT_number 123
_space_group_name_Hall '-P 4 2'
loop_
_atom_site_label
_atom_site_type_symbol
_atom_site_fract_x
_atom_site_fract_y
_atom_site_fract_z
_atom_site_occupancy
Ce1 Ce 0.000 0.500 0.000 1
Pr1 Pr 0.000 0.000 0.500 1
Te1 Te 0.000 0.000 0.000 1
Te2 Te 0.285 0.285 0.500 1
```